Record 1
For Rb2PH4Se3O2, DFT lattice parameters and positions (PBE) gives the computed PXRD pattern in this record (Cu Kα (λ = 1.5418 Å)).
Peak positions follow from Bragg's law for the DFT cell and can differ from measured ones.

Crystal structure
abc: 9.970 12.683 7.703
angles: 90.00 90.00 90.00
Fractional positions:
Rb  0.000  0.000  0.000
Rb  0.000  0.000  0.500
Rb  0.104  0.342  0.000
Rb  0.396  0.842  0.500
Rb  0.500  0.500  0.000
Rb  0.500  0.500  0.500
Rb  0.604  0.158  0.500
Rb  0.896  0.658  0.000
P  0.116  0.492  0.500
P  0.384  0.992  0.000
P  0.616  0.008  0.000
P  0.884  0.508  0.500
H  0.031  0.769  0.321
H  0.031  0.769  0.679
H  0.150  0.808  0.203
H  0.150  0.808  0.797
H  0.350  0.308  0.297
H  0.350  0.308  0.703
H  0.469  0.269  0.179
H  0.469  0.269  0.821
H  0.531  0.731  0.179
H  0.531  0.731  0.821
H  0.650  0.692  0.297
H  0.650  0.692  0.703
H  0.850  0.192  0.203
H  0.850  0.192  0.797
H  0.969  0.231  0.321
H  0.969  0.231  0.679
Se  0.152  0.317  0.500
Se  0.189  0.568  0.262
Se  0.189  0.568  0.738
Se  0.311  0.068  0.238
Se  0.311  0.068  0.762
Se  0.348  0.817  0.000
Se  0.652  0.183  0.000
Se  0.689  0.932  0.238
Se  0.689  0.932  0.762
Se  0.811  0.432  0.262
Se  0.811  0.432  0.738
Se  0.848  0.683  0.500
O  0.064  0.830  0.255
O  0.064  0.830  0.745
O  0.436  0.330  0.245
O  0.436  0.330  0.755
O  0.564  0.670  0.245
O  0.564  0.670  0.755
O  0.936  0.170  0.255
O  0.936  0.170  0.745

Main lines, low angle first (10 to 90 degrees two-theta):
- d 3.216, 27.7 deg, I 100
- d 3.126, 28.6 deg, I 74
- d 3.022, 29.6 deg, I 60
- d 2.963, 30.2 deg, I 74
- d 2.747, 32.6 deg, I 48
- d 2.738, 32.7 deg, I 68

---

Record 2
For RbTlP2H4O8, DFT lattice parameters and positions (PBE) gives the computed PXRD pattern in this record (Cu Kα (λ = 1.5418 Å)).
Peak positions follow from Bragg's law for the DFT cell and can differ from measured ones.

Crystal structure
abc: 6.569 4.607 14.503
angles: 90.00 91.82 90.00
Fractional positions:
Rb  0.239  0.000  0.122
Rb  0.761  0.500  0.878
Tl  0.238  0.488  0.617
Tl  0.762  0.988  0.383
P  0.258  0.513  0.372
P  0.258  0.967  0.872
P  0.742  0.013  0.628
P  0.742  0.467  0.128
H  0.003  0.989  0.751
H  0.258  0.503  0.930
H  0.258  0.975  0.431
H  0.497  0.991  0.751
H  0.503  0.491  0.249
H  0.742  0.003  0.070
H  0.742  0.475  0.569
H  0.997  0.489  0.249
O  0.102  0.836  0.800
O  0.105  0.646  0.299
O  0.166  0.271  0.430
O  0.169  0.212  0.929
O  0.326  0.709  0.938
O  0.327  0.771  0.439
O  0.452  0.398  0.325
O  0.453  0.077  0.824
O  0.547  0.577  0.176
O  0.548  0.898  0.675
O  0.673  0.271  0.561
O  0.674  0.209  0.062
O  0.831  0.712  0.071
O  0.834  0.771  0.570
O  0.895  0.146  0.701
O  0.898  0.336  0.200

Main lines, low angle first (10 to 90 degrees two-theta):
- d 3.666, 24.3 deg, I 40
- d 3.629, 24.5 deg, I 100
- d 3.334, 26.7 deg, I 25
- d 3.283, 27.2 deg, I 33
- d 2.999, 29.8 deg, I 29
- d 2.948, 30.3 deg, I 24

---

Record 3
For Rb2ZnP4H8O16, DFT lattice parameters and positions (PBE) gives the computed PXRD pattern in this record (Cu Kα (λ = 1.5418 Å)).
Peak positions follow from Bragg's law for the DFT cell and can differ from measured ones.

Crystal structure
abc: 7.052 7.482 7.785
angles: 82.44 72.01 86.68
Fractional positions:
Rb  0.096  0.218  0.289
Rb  0.904  0.782  0.711
Zn  0.500  0.000  0.500
P  0.239  0.301  0.751
P  0.349  0.759  0.241
P  0.651  0.241  0.759
P  0.761  0.699  0.249
H  0.077  0.762  0.089
H  0.270  0.531  0.459
H  0.383  0.808  0.851
H  0.385  0.677  0.705
H  0.615  0.323  0.295
H  0.617  0.192  0.149
H  0.730  0.469  0.541
H  0.923  0.238  0.911
O  0.053  0.288  0.924
O  0.246  0.154  0.633
O  0.265  0.493  0.653
O  0.266  0.566  0.325
O  0.271  0.825  0.082
O  0.309  0.882  0.389
O  0.412  0.266  0.851
O  0.448  0.785  0.723
O  0.552  0.215  0.277
O  0.588  0.734  0.149
O  0.691  0.118  0.611
O  0.729  0.175  0.918
O  0.734  0.434  0.675
O  0.735  0.507  0.347
O  0.754  0.846  0.367
O  0.947  0.712  0.076

Main lines, low angle first (10 to 90 degrees two-theta):
- d 7.351, 12.0 deg, I 79
- d 3.708, 24.0 deg, I 89
- d 3.676, 24.2 deg, I 68
- d 3.653, 24.4 deg, I 92
- d 3.034, 29.4 deg, I 100
- d 2.870, 31.2 deg, I 65

---

Record 4
For Sb2P4H3O16, DFT lattice parameters and positions (PBE) gives the computed PXRD pattern in this record (Cu Kα (λ = 1.5418 Å)).
Peak positions follow from Bragg's law for the DFT cell and can differ from measured ones.

Crystal structure
abc: 5.005 7.655 8.109
angles: 91.29 91.93 102.50
Fractional positions:
Sb  0.000  0.000  0.000
Sb  0.497  0.493  0.506
P  0.107  0.747  0.349
P  0.381  0.745  0.832
P  0.618  0.252  0.172
P  0.882  0.237  0.653
H  0.041  0.564  0.911
H  0.437  0.967  0.488
H  0.938  0.417  0.056
O  0.054  0.796  0.170
O  0.152  0.332  0.571
O  0.163  0.858  0.808
O  0.235  0.562  0.911
O  0.235  0.916  0.456
O  0.302  0.610  0.336
O  0.385  0.166  0.050
O  0.487  0.698  0.663
O  0.506  0.297  0.339
O  0.615  0.830  0.951
O  0.711  0.393  0.674
O  0.730  0.075  0.558
O  0.765  0.436  0.096
O  0.834  0.136  0.195
O  0.842  0.651  0.429
O  0.952  0.205  0.838

Main lines, low angle first (10 to 90 degrees two-theta):
- d 5.577, 15.9 deg, I 100
- d 5.410, 16.4 deg, I 81
- d 4.111, 21.6 deg, I 34
- d 3.733, 23.8 deg, I 91
- d 3.086, 28.9 deg, I 91
- d 3.058, 29.2 deg, I 34

---

Record 5
For Sc2P3H3O9, DFT lattice parameters and positions (PBE) gives the computed PXRD pattern in this record (Cu Kα (λ = 1.5418 Å)).
Peak positions follow from Bragg's law for the DFT cell and can differ from measured ones.

Crystal structure
abc: 8.435 8.435 7.805
angles: 90.00 90.00 120.00
Fractional positions:
Sc  0.333  0.667  0.046
Sc  0.333  0.667  0.454
Sc  0.667  0.333  0.546
Sc  0.667  0.333  0.954
P  0.043  0.688  0.750
P  0.312  0.355  0.750
P  0.355  0.043  0.250
P  0.645  0.957  0.750
P  0.688  0.645  0.250
P  0.957  0.312  0.250
H  0.005  0.174  0.250
H  0.169  0.995  0.250
H  0.174  0.169  0.750
H  0.826  0.831  0.250
H  0.831  0.005  0.750
H  0.995  0.826  0.750
O  0.139  0.498  0.250
O  0.152  0.712  0.586
O  0.152  0.712  0.914
O  0.288  0.440  0.586
O  0.288  0.440  0.914
O  0.359  0.861  0.250
O  0.440  0.152  0.086
O  0.440  0.152  0.414
O  0.498  0.359  0.750
O  0.502  0.641  0.250
O  0.560  0.848  0.586
O  0.560  0.848  0.914
O  0.641  0.139  0.750
O  0.712  0.560  0.086
O  0.712  0.560  0.414
O  0.848  0.288  0.086
O  0.848  0.288  0.414
O  0.861  0.502  0.750

Main lines, low angle first (10 to 90 degrees two-theta):
- d 7.305, 12.1 deg, I 100
- d 3.711, 24.0 deg, I 84
- d 3.308, 27.0 deg, I 20
- d 2.864, 31.2 deg, I 36
- d 2.435, 36.9 deg, I 14
- d 1.894, 48.0 deg, I 14

---

Record 6
For ScP3H6O12, DFT lattice parameters and positions (PBE) gives the computed PXRD pattern in this record (Cu Kα (λ = 1.5418 Å)).
Peak positions follow from Bragg's law for the DFT cell and can differ from measured ones.

Crystal structure
abc: 10.094 10.094 10.094
angles: 48.65 48.65 48.65
Fractional positions:
Sc  0.000  0.000  0.000
Sc  0.500  0.500  0.500
P  0.100  0.403  0.748
P  0.248  0.903  0.600
P  0.403  0.748  0.100
P  0.600  0.248  0.903
P  0.748  0.100  0.403
P  0.903  0.600  0.248
H  0.003  0.308  0.460
H  0.015  0.567  0.989
H  0.067  0.515  0.489
H  0.308  0.460  0.003
H  0.460  0.003  0.308
H  0.489  0.067  0.515
H  0.503  0.960  0.808
H  0.515  0.489  0.067
H  0.567  0.989  0.015
H  0.808  0.503  0.960
H  0.960  0.808  0.503
H  0.989  0.015  0.567
O  0.030  0.563  0.572
O  0.063  0.530  0.072
O  0.072  0.063  0.530
O  0.106  0.215  0.816
O  0.189  0.895  0.785
O  0.215  0.816  0.106
O  0.285  0.395  0.689
O  0.316  0.715  0.606
O  0.395  0.689  0.285
O  0.401  0.998  0.438
O  0.438  0.401  0.998
O  0.498  0.901  0.938
O  0.530  0.072  0.063
O  0.563  0.572  0.030
O  0.572  0.030  0.563
O  0.606  0.316  0.715
O  0.689  0.285  0.395
O  0.715  0.606  0.316
O  0.785  0.189  0.895
O  0.816  0.106  0.215
O  0.895  0.785  0.189
O  0.901  0.938  0.498
O  0.938  0.498  0.901
O  0.998  0.438  0.401

Main lines, low angle first (10 to 90 degrees two-theta):
- d 6.335, 14.0 deg, I 48
- d 4.889, 18.1 deg, I 32
- d 3.766, 23.6 deg, I 100
- d 3.167, 28.2 deg, I 27
- d 3.035, 29.4 deg, I 49
- d 2.108, 42.9 deg, I 26